(1)
Structure and simulated powder X-ray diffraction pattern of AcNp3S6 (a crystal structure in Alexandria, relaxed with GGA-PBE; copper Kα).

Structural model:
```
AcNp3S6
1.0
5.2016 -6.5876 0.0000
5.2016 6.5876 0.0000
0.0000 0.0000 7.0457
Ac Np S
2 6 12
Direct
0.1880 0.8120 0.5000 Ac
0.8120 0.1880 0.0000 Ac
0.0897 0.2884 0.4979 Np
0.2884 0.0897 0.9979 Np
0.4072 0.5928 0.0915 Np
0.5928 0.4072 0.5915 Np
0.7116 0.9103 0.4979 Np
0.9103 0.7116 0.9979 Np
0.0077 0.9923 0.2389 S
0.0835 0.5323 0.2412 S
0.2290 0.7710 0.8925 S
0.3012 0.3741 0.7992 S
0.3741 0.3012 0.2992 S
0.4677 0.9165 0.2412 S
0.5323 0.0835 0.7412 S
0.6259 0.6988 0.7992 S
0.6988 0.6259 0.2992 S
0.7710 0.2290 0.3925 S
0.9165 0.4677 0.7412 S
0.9923 0.0077 0.7389 S
```

Principal peaks in the range 2θ from 10° to 90°, low angle first:
2theta  I/Imax
25.23  100
25.39  36
29.50  14
37.01  16
43.12  26
50.22  14

***

(2)
Structure and simulated powder X-ray diffraction pattern of Hf3NbSb4 (a crystal structure in Alexandria, relaxed with GGA-PBE; copper Kα).

Structural model:
```
Hf3NbSb4
1.0
5.3808 0.0000 0.0000
0.0000 10.7484 0.0000
0.0000 0.0000 6.2647
Hf Nb Sb
6 2 8
Direct
0.2500 0.0026 0.1480 Hf
0.2500 0.4974 0.1480 Hf
0.2500 0.7500 0.8529 Hf
0.7500 0.2500 0.1471 Hf
0.7500 0.5026 0.8520 Hf
0.7500 0.9974 0.8520 Hf
0.2500 0.2500 0.8521 Nb
0.7500 0.7500 0.1479 Nb
0.2500 0.0038 0.6715 Sb
0.2500 0.2500 0.3273 Sb
0.2500 0.4962 0.6715 Sb
0.2500 0.7500 0.3286 Sb
0.7500 0.2500 0.6714 Sb
0.7500 0.5038 0.3285 Sb
0.7500 0.7500 0.6727 Sb
0.7500 0.9962 0.3285 Sb
```

Principal peaks in the range 2θ from 10° to 90°, low angle first:
2theta  I/Imax
33.32  83
37.19  100
44.40  12
47.84  30
62.11  44
64.33  12

***

(3)
Structure and simulated powder X-ray diffraction pattern of UCl6 (a crystal structure in Alexandria, relaxed with GGA-PBE; copper Kα).

Structural model:
```
UCl6
1.0
11.8534 0.0000 0.0000
-5.9267 10.2654 0.0000
0.0000 0.0000 6.5888
U Cl
3 18
Direct
0.0000 0.0000 0.0000 U
0.3333 0.6667 0.4733 U
0.6667 0.3333 0.5267 U
0.0983 0.1966 0.2161 Cl
0.0983 0.9017 0.2161 Cl
0.1370 0.5685 0.2566 Cl
0.1966 0.0983 0.7839 Cl
0.2351 0.4702 0.6898 Cl
0.2351 0.7649 0.6898 Cl
0.4315 0.5685 0.2566 Cl
0.4315 0.8630 0.2566 Cl
0.4702 0.2351 0.3102 Cl
0.5298 0.7649 0.6898 Cl
0.5685 0.1370 0.7434 Cl
0.5685 0.4315 0.7434 Cl
0.7649 0.2351 0.3102 Cl
0.7649 0.5298 0.3102 Cl
0.8034 0.9017 0.2161 Cl
0.8630 0.4315 0.7434 Cl
0.9017 0.0983 0.7839 Cl
0.9017 0.8034 0.7839 Cl
```

Principal peaks in the range 2θ from 10° to 90°, low angle first:
2theta  I/Imax
14.95  100
15.98  74
21.95  31
26.66  27
29.41  21
37.91  29

***

(4)
Structure and simulated powder X-ray diffraction pattern of CsZnSbH2 (a crystal structure in Alexandria, relaxed with GGA-PBE; copper Kα).

Structural model:
```
CsZnSbH2
1.0
4.0463 -2.3399 0.0000
4.0463 2.3399 0.0000
-2.7131 0.0000 6.4731
Cs Zn Sb H
1 1 1 2
Direct
0.0000 0.0000 0.0000 Cs
0.1863 0.1863 0.5617 Zn
0.5157 0.5157 0.5492 Sb
0.7081 0.7081 0.1252 H
0.7492 0.7492 0.2428 H
```

Principal peaks in the range 2θ from 10° to 90°, low angle first:
2theta  I/Imax
23.81  100
27.56  49
28.71  85
38.50  68
47.97  42
48.07  21

***

(5)
Structure and simulated powder X-ray diffraction pattern of Pm8Y6Mg (a crystal structure in Alexandria, relaxed with GGA-PBE; copper Kα).

Structural model:
```
Pm8Y6Mg
1.0
9.4006 0.0000 0.0000
-4.7003 8.1412 0.0000
0.0000 0.0000 6.5219
Pm Y Mg
8 6 1
Direct
0.0386 0.7644 0.1751 Pm
0.2356 0.2741 0.1751 Pm
0.2741 0.0386 0.8249 Pm
0.3333 0.6667 0.1449 Pm
0.6667 0.3333 0.8551 Pm
0.7259 0.9614 0.1751 Pm
0.7644 0.7259 0.8249 Pm
0.9614 0.2356 0.8249 Pm
0.0945 0.6507 0.6654 Y
0.3493 0.4438 0.6654 Y
0.4438 0.0945 0.3346 Y
0.5562 0.9055 0.6654 Y
0.6507 0.5562 0.3346 Y
0.9055 0.3493 0.3346 Y
0.0000 0.0000 0.5000 Mg
```

Principal peaks in the range 2θ from 10° to 90°, low angle first:
2theta  I/Imax
29.02  26
29.51  19
32.17  100
33.44  35
50.85  14
51.45  22

***

(6)
Structure and simulated powder X-ray diffraction pattern of La8Tb3Dy (a crystal structure in Alexandria, relaxed with GGA-PBE; copper Kα).

Structural model:
```
La8Tb3Dy
1.0
-3.3397 5.6371 5.9846
3.3397 -5.6371 5.9846
3.3397 5.6371 -5.9846
La Tb Dy
8 3 1
Direct
0.0910 0.2492 0.8405 La
0.2222 0.2266 0.5000 La
0.2734 0.7734 0.9955 La
0.4087 0.2505 0.1595 La
0.5913 0.7508 0.8418 La
0.7266 0.7221 0.5000 La
0.7778 0.2779 0.0045 La
0.9090 0.7495 0.1582 La
0.2528 0.7528 0.5000 Tb
0.5000 0.5000 0.0000 Tb
0.7472 0.2472 0.5000 Tb
0.0000 0.0000 0.0000 Dy
```

Principal peaks in the range 2θ from 10° to 90°, low angle first:
2theta  I/Imax
21.44  19
29.86  39
30.66  32
31.13  100
34.63  23
49.99  20

***

(7)
Structure and simulated powder X-ray diffraction pattern of Li3Ac2AgPt4 (a crystal structure in Alexandria, relaxed with GGA-PBE; copper Kα).

Structural model:
```
Li3Ac2AgPt4
1.0
4.2274 0.0000 0.0000
0.0000 4.2274 0.0000
0.0000 0.0000 11.1657
Li Ac Ag Pt
3 2 1 4
Direct
0.0000 0.0000 0.0000 Li
0.0000 0.5000 0.6135 Li
0.5000 0.0000 0.3865 Li
0.0000 0.5000 0.2668 Ac
0.5000 0.0000 0.7332 Ac
0.5000 0.5000 0.0000 Ag
0.0000 0.0000 0.5000 Pt
0.0000 0.5000 0.8354 Pt
0.5000 0.0000 0.1646 Pt
0.5000 0.5000 0.5000 Pt
```

Principal peaks in the range 2θ from 10° to 90°, low angle first:
2theta  I/Imax
26.45  29
32.05  31
34.02  100
42.78  38
45.96  20
72.74  23

***

(8)
Structure and simulated powder X-ray diffraction pattern of SrMgAl2Ag4 (a crystal structure in Alexandria, relaxed with GGA-PBE; copper Kα).

Structural model:
```
SrMgAl2Ag4
1.0
2.2965 1.3259 9.1910
-2.2965 1.3259 9.1910
0.0000 -2.6517 9.1910
Sr Mg Al Ag
1 1 2 4
Direct
0.0000 0.0000 0.0000 Sr
0.5000 0.5000 0.5000 Mg
0.2385 0.2385 0.2385 Al
0.7615 0.7615 0.7615 Al
0.1295 0.1295 0.1295 Ag
0.4039 0.4039 0.4039 Ag
0.5961 0.5961 0.5961 Ag
0.8705 0.8705 0.8705 Ag
```

Principal peaks in the range 2θ from 10° to 90°, low angle first:
2theta  I/Imax
25.86  41
31.98  50
34.43  62
39.23  100
42.63  30
64.99  21

***

(9)
Structure and simulated powder X-ray diffraction pattern of P3Rh5 (a crystal structure in Alexandria, relaxed with GGA-PBE; copper Kα).

Structural model:
```
P3Rh5
1.0
2.7982 -6.3089 0.0000
2.7982 6.3089 0.0000
-2.7824 0.0000 6.3050
P Rh
6 10
Direct
0.0000 0.0000 0.0000 P
0.0311 0.5314 0.8190 P
0.3184 0.3184 0.6352 P
0.5010 0.8185 0.3186 P
0.5314 0.0311 0.8190 P
0.8185 0.5010 0.3186 P
0.0006 0.3573 0.0945 Rh
0.0830 0.8586 0.6744 Rh
0.2278 0.5833 0.5425 Rh
0.3573 0.0006 0.0945 Rh
0.4072 0.4072 0.3165 Rh
0.5010 0.7248 0.9623 Rh
0.5833 0.2278 0.5425 Rh
0.7248 0.5010 0.9623 Rh
0.8586 0.0830 0.6744 Rh
0.9087 0.9087 0.3182 Rh
```

Principal peaks in the range 2θ from 10° to 90°, low angle first:
2theta  I/Imax
31.72  36
31.98  57
39.84  72
43.20  38
44.92  100
45.65  34

***

(10)
Structure and simulated powder X-ray diffraction pattern of Ce2PaBi (a crystal structure in Alexandria, relaxed with GGA-PBE; copper Kα).

Structural model:
```
Ce2PaBi
1.0
4.8301 0.0000 0.0000
0.0000 4.8301 0.0000
0.0000 0.0000 4.6241
Ce Pa Bi
2 1 1
Direct
0.0000 0.5000 0.0000 Ce
0.5000 0.0000 0.0000 Ce
0.0000 0.0000 0.5000 Pa
0.5000 0.5000 0.5000 Bi
```

Principal peaks in the range 2θ from 10° to 90°, low angle first:
2theta  I/Imax
32.59  100
37.23  35
38.95  16
54.98  23
64.22  29
66.56  13

***

(11)
Structure and simulated powder X-ray diffraction pattern of Li2Be3Au8 (a crystal structure in Alexandria, relaxed with GGA-PBE; copper Kα).

Structural model:
```
Li2Be3Au8
1.0
7.6914 0.0000 0.0000
0.0000 4.1262 0.0000
-3.8430 0.0000 6.8420
Li Be Au
2 3 8
Direct
0.2466 0.0000 0.4921 Li
0.7534 0.0000 0.5079 Li
0.0000 0.0000 0.0000 Be
0.2577 0.5000 0.9998 Be
0.7423 0.5000 0.0002 Be
0.1114 0.5000 0.2227 Au
0.1471 0.0000 0.7825 Au
0.3643 0.0000 0.2164 Au
0.3824 0.5000 0.7648 Au
0.6176 0.5000 0.2352 Au
0.6357 0.0000 0.7836 Au
0.8529 0.0000 0.2175 Au
0.8886 0.5000 0.7773 Au
```

Principal peaks in the range 2θ from 10° to 90°, low angle first:
2theta  I/Imax
26.05  72
31.81  100
41.56  93
43.88  23
51.74  23
54.76  19

***

(12)
Structure and simulated powder X-ray diffraction pattern of Dy5Er5Th2 (a crystal structure in Alexandria, relaxed with GGA-PBE; copper Kα).

Structural model:
```
Dy5Er5Th2
1.0
7.5060 -2.5098 0.0000
7.5060 2.5098 0.0000
-5.0064 0.0000 9.9684
Dy Er Th
5 5 2
Direct
0.0000 0.0000 0.0000 Dy
0.0850 0.0850 0.7531 Dy
0.1677 0.1677 0.5011 Dy
0.8323 0.8323 0.4989 Dy
0.9150 0.9150 0.2469 Dy
0.2495 0.2495 0.2466 Er
0.4166 0.4166 0.7503 Er
0.5000 0.5000 0.5000 Er
0.5834 0.5834 0.2497 Er
0.7505 0.7505 0.7534 Er
0.3319 0.3319 0.0003 Th
0.6681 0.6681 0.9997 Th
```

Principal peaks in the range 2θ from 10° to 90°, low angle first:
2theta  I/Imax
30.96  100
35.78  17
35.89  17
36.04  17
51.73  24
61.31  15

***

(13)
Structure and simulated powder X-ray diffraction pattern of Tm7Hg4O (a crystal structure in Alexandria, relaxed with GGA-PBE; copper Kα).

Structural model:
```
Tm7Hg4O
1.0
7.9451 -2.4255 0.0000
7.9451 2.4255 0.0000
-6.7922 0.0000 8.2693
Tm Hg O
7 4 1
Direct
0.0000 0.0000 0.0000 Tm
0.1276 0.1276 0.5477 Tm
0.2846 0.2846 0.1501 Tm
0.4469 0.4469 0.7556 Tm
0.5531 0.5531 0.2444 Tm
0.7154 0.7154 0.8499 Tm
0.8724 0.8724 0.4523 Tm
0.0848 0.0848 0.7970 Hg
0.2288 0.2288 0.3742 Hg
0.7712 0.7712 0.6258 Hg
0.9152 0.9152 0.2030 Hg
0.5000 0.5000 0.0000 O
```

Principal peaks in the range 2θ from 10° to 90°, low angle first:
2theta  I/Imax
25.08  23
35.03  100
35.26  87
35.98  43
37.07  46
52.61  29